(1)
Starting from a structure optimized by DFT (PBE), the X-ray powder pattern of ThAl2Ni3 was calculated for Cu Kα X-rays.

Structure:
```
data_ThAl2Ni3
_cell_length_a 5.1900
_cell_length_b 8.6495
_cell_length_c 4.1303
_cell_angle_alpha 90.00
_cell_angle_beta 90.00
_cell_angle_gamma 90.00
_space_group_name_H-M_alt 'C m m m'
_space_group_IT_number 65
_space_group_name_Hall '-C 2 2'
loop_
_atom_site_label
_atom_site_type_symbol
_atom_site_fract_x
_atom_site_fract_y
_atom_site_fract_z
Th1 Th 0.0000 0.0000 0.0000
Al1 Al 0.2500 0.2500 0.5000
Ni1 Ni 0.0000 0.3299 0.0000
Ni2 Ni 0.0000 0.5000 0.5000
```

Main lines, sorted by position (2θ from 15° to 90°):
- 2θ 20.54, intensity 23
- 2θ 21.51, intensity 43
- 2θ 29.51, intensity 75
- 2θ 34.56, intensity 33
- 2θ 35.62, intensity 37
- 2θ 40.54, intensity 23
- 2θ 41.08, intensity 36
- 2θ 42.00, intensity 100
- 2θ 43.84, intensity 28
- 2θ 67.03, intensity 24


(2)
Starting from a structure optimized by DFT (PBE), the X-ray powder pattern of K2TlHgF6 was calculated for Cu Kα X-rays.

Structure:
```
data_K2TlHgF6
_cell_length_a 9.2962
_cell_length_b 9.2962
_cell_length_c 9.2962
_cell_angle_alpha 90.00
_cell_angle_beta 90.00
_cell_angle_gamma 90.00
_space_group_name_H-M_alt 'F m -3 m'
_space_group_IT_number 225
_space_group_name_Hall '-F 4 2 3'
loop_
_atom_site_label
_atom_site_type_symbol
_atom_site_fract_x
_atom_site_fract_y
_atom_site_fract_z
K1 K 0.2500 0.2500 0.2500
Tl1 Tl 0.0000 0.0000 0.0000
Hg1 Hg 0.0000 0.0000 0.5000
F1 F 0.0000 0.0000 0.2500
```

Main lines, sorted by position (2θ from 15° to 90°):
- 2θ 19.09, intensity 74
- 2θ 27.13, intensity 100
- 2θ 38.75, intensity 36
- 2θ 43.54, intensity 38
- 2θ 47.94, intensity 43
- 2θ 55.95, intensity 23
- 2θ 59.68, intensity 19
- 2θ 63.27, intensity 19
- 2θ 76.72, intensity 22
- 2θ 89.44, intensity 12


(3)
Starting from a structure optimized by DFT (PBE), the X-ray powder pattern of PPb2IO4 was calculated for Cu Kα X-rays.

Structure:
```
data_PPb2IO4
_cell_length_a 9.2306
_cell_length_b 8.8629
_cell_length_c 8.7135
_cell_angle_alpha 90.00
_cell_angle_beta 111.68
_cell_angle_gamma 90.00
_space_group_name_H-M_alt 'P 1 21/c 1'
_space_group_IT_number 14
_space_group_name_Hall '-P 2ybc'
loop_
_atom_site_label
_atom_site_type_symbol
_atom_site_fract_x
_atom_site_fract_y
_atom_site_fract_z
P1 P 0.0416 0.0510 0.2327
Pb1 Pb 0.1550 0.6996 0.0458
Pb2 Pb 0.2664 0.1743 0.9701
I1 I 0.4988 0.0664 0.7466
O1 O 0.0864 0.0925 0.4195
O2 O 0.0870 0.6156 0.7237
O3 O 0.1218 0.1661 0.1547
O4 O 0.1393 0.5703 0.3569
```

Main lines, sorted by position (2θ from 15° to 90°):
- 2θ 23.04, intensity 40
- 2θ 24.01, intensity 37
- 2θ 26.06, intensity 55
- 2θ 26.81, intensity 100
- 2θ 28.97, intensity 44
- 2θ 29.89, intensity 63
- 2θ 32.54, intensity 38
- 2θ 35.68, intensity 42
- 2θ 42.59, intensity 44
- 2θ 43.76, intensity 24


(4)
Starting from a structure optimized by DFT (PBE), the X-ray powder pattern of PrTlP2Se6 was calculated for Cu Kα X-rays.

Structure:
```
data_PrTlP2Se6
_cell_length_a 12.5364
_cell_length_b 7.8329
_cell_length_c 12.0422
_cell_angle_alpha 90.00
_cell_angle_beta 109.44
_cell_angle_gamma 90.00
_space_group_name_H-M_alt 'P 1 21/c 1'
_space_group_IT_number 14
_space_group_name_Hall '-P 2ybc'
loop_
_atom_site_label
_atom_site_type_symbol
_atom_site_fract_x
_atom_site_fract_y
_atom_site_fract_z
Pr1 Pr 0.1499 0.1030 0.4051
Tl1 Tl 0.3733 0.5878 0.6252
P1 P 0.1780 0.5965 0.2451
P2 P 0.2917 0.1189 0.7311
Se1 Se 0.0522 0.0265 0.8142
Se2 Se 0.0913 0.6927 0.0634
Se3 Se 0.1715 0.1856 0.1310
Se4 Se 0.2885 0.7099 0.8606
Se5 Se 0.3717 0.2154 0.9129
Se6 Se 0.3924 0.0180 0.6284
```

Main lines, sorted by position (2θ from 15° to 90°):
- 2θ 24.40, intensity 52
- 2θ 28.93, intensity 100
- 2θ 30.24, intensity 43
- 2θ 31.27, intensity 66
- 2θ 31.51, intensity 48
- 2θ 34.10, intensity 39
- 2θ 35.01, intensity 39
- 2θ 35.31, intensity 36
- 2θ 35.83, intensity 48
- 2θ 37.95, intensity 31


(5)
Starting from a structure optimized by DFT (PBE), the X-ray powder pattern of Dy5Sc5Si20Ir8 was calculated for Cu Kα X-rays.

Structure:
```
data_Dy5Sc5Si20Ir8
_cell_length_a 4.1852
_cell_length_b 17.7107
_cell_length_c 17.7381
_cell_angle_alpha 90.00
_cell_angle_beta 90.00
_cell_angle_gamma 90.00
_space_group_name_H-M_alt 'A m m 2'
_space_group_IT_number 38
_space_group_name_Hall 'A 2 -2'
loop_
_atom_site_label
_atom_site_type_symbol
_atom_site_fract_x
_atom_site_fract_y
_atom_site_fract_z
Dy1 Dy 0.0000 0.0000 0.0000
Dy2 Dy 0.0000 0.1152 0.6152
Dy3 Dy 0.5000 0.2499 0.3650
Sc1 Sc 0.0000 0.0000 0.2303
Sc2 Sc 0.0000 0.0000 0.4409
Sc3 Sc 0.0000 0.0000 0.7890
Sc4 Sc 0.0000 0.1736 0.1155
Si1 Si 0.0000 0.1693 0.4410
Si2 Si 0.0000 0.1692 0.7892
Si3 Si 0.0000 0.1732 0.2841
Si4 Si 0.0000 0.1740 0.9459
Si5 Si 0.5000 0.0000 0.5481
Si6 Si 0.5000 0.0000 0.6821
Si7 Si 0.5000 0.0665 0.1159
Si8 Si 0.5000 0.0667 0.3472
Si9 Si 0.5000 0.0671 0.8823
Si10 Si 0.5000 0.2330 0.5481
Si11 Si 0.5000 0.2333 0.6822
Ir1 Ir 0.5000 0.1166 0.4777
Ir2 Ir 0.5000 0.1168 0.7523
Ir3 Ir 0.5000 0.1359 0.2317
Ir4 Ir 0.5000 0.1370 0.9989
```

Main lines, sorted by position (2θ from 15° to 90°):
- 2θ 20.04, intensity 43
- 2θ 21.23, intensity 28
- 2θ 28.49, intensity 24
- 2θ 29.35, intensity 33
- 2θ 35.80, intensity 100
- 2θ 36.55, intensity 31
- 2θ 40.73, intensity 26
- 2θ 43.24, intensity 28
- 2θ 50.98, intensity 20
- 2θ 60.90, intensity 17


(6)
Starting from a structure optimized by DFT (PBE), the X-ray powder pattern of GdGaPd2 was calculated for Cu Kα X-rays.

Structure:
```
data_GdGaPd2
_cell_length_a 7.4716
_cell_length_b 7.1658
_cell_length_c 5.7176
_cell_angle_alpha 90.00
_cell_angle_beta 90.00
_cell_angle_gamma 90.00
_space_group_name_H-M_alt 'P n m a'
_space_group_IT_number 62
_space_group_name_Hall '-P 2ac 2n'
loop_
_atom_site_label
_atom_site_type_symbol
_atom_site_fract_x
_atom_site_fract_y
_atom_site_fract_z
Gd1 Gd 0.0329 0.2500 0.1502
Ga1 Ga 0.1208 0.7500 0.3484
Pd1 Pd 0.1771 0.0528 0.5879
```

Main lines, sorted by position (2θ from 15° to 90°):
- 2θ 31.21, intensity 53
- 2θ 31.81, intensity 42
- 2θ 33.56, intensity 30
- 2θ 34.69, intensity 69
- 2θ 35.89, intensity 100
- 2θ 38.20, intensity 56
- 2θ 39.47, intensity 62
- 2θ 42.21, intensity 30
- 2θ 42.78, intensity 43
- 2θ 62.96, intensity 21


(7)
Starting from a structure optimized by DFT (PBE), the X-ray powder pattern of Nd3Ag was calculated for Cu Kα X-rays.

Structure:
```
data_Nd3Ag
_cell_length_a 7.1157
_cell_length_b 7.1157
_cell_length_c 5.4357
_cell_angle_alpha 90.00
_cell_angle_beta 90.00
_cell_angle_gamma 120.00
_space_group_name_H-M_alt 'P 63/m m c'
_space_group_IT_number 194
_space_group_name_Hall '-P 6c 2c'
loop_
_atom_site_label
_atom_site_type_symbol
_atom_site_fract_x
_atom_site_fract_y
_atom_site_fract_z
Nd1 Nd 0.1751 0.3503 0.2500
Ag1 Ag 0.3333 0.6667 0.7500
```

Main lines, sorted by position (2θ from 15° to 90°):
- 2θ 28.98, intensity 24
- 2θ 32.96, intensity 24
- 2θ 33.43, intensity 100
- 2θ 44.45, intensity 15
- 2θ 51.36, intensity 19
- 2θ 59.15, intensity 19
- 2θ 62.39, intensity 21
- 2θ 62.68, intensity 15
- 2θ 82.12, intensity 7
- 2θ 85.22, intensity 12


(8)
Starting from a structure optimized by DFT (PBE), the X-ray powder pattern of La2ZnAs2O was calculated for Cu Kα X-rays.

Structure:
```
data_La2ZnAs2O
_cell_length_a 3.5032
_cell_length_b 3.5032
_cell_length_c 14.9371
_cell_angle_alpha 90.00
_cell_angle_beta 90.00
_cell_angle_gamma 90.00
_space_group_name_H-M_alt 'P 4/m m m'
_space_group_IT_number 123
_space_group_name_Hall '-P 4 2'
loop_
_atom_site_label
_atom_site_type_symbol
_atom_site_fract_x
_atom_site_fract_y
_atom_site_fract_z
La1 La 0.0000 0.0000 0.1409
Zn1 Zn 0.0000 0.0000 0.5000
As1 As 0.0000 0.0000 0.3439
O1 O 0.0000 0.0000 0.0000
```

Main lines, sorted by position (2θ from 15° to 90°):
- 2θ 23.83, intensity 16
- 2θ 25.43, intensity 100
- 2θ 35.12, intensity 24
- 2θ 36.26, intensity 39
- 2θ 43.86, intensity 13
- 2θ 44.65, intensity 24
- 2θ 52.08, intensity 15
- 2θ 52.22, intensity 13
- 2θ 58.95, intensity 18
- 2θ 71.10, intensity 11


(9)
Starting from a structure optimized by DFT (PBE), the X-ray powder pattern of UFe10Si2 was calculated for Cu Kα X-rays.

Structure:
```
data_UFe10Si2
_cell_length_a 4.7304
_cell_length_b 8.1627
_cell_length_c 8.3736
_cell_angle_alpha 90.00
_cell_angle_beta 90.00
_cell_angle_gamma 90.00
_space_group_name_H-M_alt 'I m m m'
_space_group_IT_number 71
_space_group_name_Hall '-I 2 2'
loop_
_atom_site_label
_atom_site_type_symbol
_atom_site_fract_x
_atom_site_fract_y
_atom_site_fract_z
U1 U 0.0000 0.0000 0.0000
Fe1 Fe 0.0000 0.0000 0.3603
Fe2 Fe 0.0000 0.3048 0.5000
Fe3 Fe 0.0000 0.3508 0.0000
Fe4 Fe 0.2500 0.2500 0.2500
Si1 Si 0.0000 0.5000 0.2619
```

Main lines, sorted by position (2θ from 15° to 90°):
- 2θ 15.16, intensity 24
- 2θ 21.72, intensity 23
- 2θ 30.57, intensity 37
- 2θ 30.84, intensity 26
- 2θ 37.41, intensity 23
- 2θ 38.16, intensity 46
- 2θ 43.22, intensity 26
- 2θ 43.70, intensity 39
- 2θ 44.02, intensity 100
- 2θ 44.26, intensity 31